# Na2Ac5Os2
Calculated X-ray diffraction stick pattern, Cu Ka. Input: DFT lattice parameters and positions (PBE).

Atomic structure:
abc: 8.2873 12.5099 16.0370
angles: 90.00 90.00 90.00
Space group Fmmm (No. 69)
Inequivalent atoms, fractional coordinates:
Na  0.0000  0.0000  0.2421 [8 per cell]
Ac  0.0000  0.0000  0.5000 [4 per cell]
Ac  0.2500  0.2500  0.1215 [16 per cell]
Os  0.0000  0.2170  0.5000 [8 per cell]

Top 8 peaks for 2θ = 10–90°, sorted by position:
two_theta  I_rel
11.03  64
13.96  40
14.16  100
25.79  36
28.54  43
31.04  81
34.26  49
42.67  58

=====

# Na7AcPb5
Calculated X-ray diffraction stick pattern, Cu Ka. Input: DFT lattice parameters and positions (PBE).

Atomic structure:
abc: 6.8881 11.1210 10.9665
angles: 90.00 90.00 90.00
Space group Imm2 (No. 44)
Inequivalent atoms, fractional coordinates:
Na  0.0000  0.0000  0.0000 [2 per cell]
Na  0.0000  0.0000  0.3111 [2 per cell]
Na  0.0000  0.2955  0.2150 [4 per cell]
Na  0.0000  0.3396  0.7316 [4 per cell]
Na  0.0000  0.5000  0.4321 [2 per cell]
Ac  0.0000  0.0000  0.6390 [2 per cell]
Pb  0.0000  0.5000  0.0033 [2 per cell]
Pb  0.2352  0.2471  0.4723 [8 per cell]

Top 8 peaks for 2θ = 10–90°, sorted by position:
two_theta  I_rel
11.33  72
16.16  100
22.78  57
30.53  92
30.65  41
32.20  45
34.73  88
36.21  50

=====

# NaAc12Pb7
Calculated X-ray diffraction stick pattern, Cu Ka. Input: DFT lattice parameters and positions (PBE).

Atomic structure:
abc: 17.2746 17.2746 9.6006
angles: 90.00 90.00 120.00
Space group R-3m (No. 166, hexagonal axes)
Inequivalent atoms, fractional coordinates:
Na  0.0000  0.0000  0.0000 [3 per cell]
Ac  0.0000  0.2697  0.0000 [18 per cell]
Ac  0.1056  0.2112  0.3704 [18 per cell]
Pb  0.0000  0.0000  0.5000 [3 per cell]
Pb  0.1104  0.5552  0.4146 [18 per cell]

Top 8 peaks for 2θ = 10–90°, sorted by position:
two_theta  I_rel
25.56  40
27.60  44
28.43  100
31.06  97
32.06  36
33.27  70
46.51  38
56.68  45

=====

# Na2AcPb
Calculated X-ray diffraction stick pattern, Cu Ka. Input: DFT lattice parameters and positions (PBE).

Atomic structure:
abc: 5.4396 6.6250 7.7172
angles: 90.00 90.00 90.00
Space group Pmmn (No. 59, origin choice 2)
Inequivalent atoms, fractional coordinates:
Na  0.2500  0.0005  0.1162 [4 per cell]
Ac  0.2500  0.2500  0.5602 [2 per cell]
Pb  0.2500  0.7500  0.7235 [2 per cell]

Top 8 peaks for 2θ = 10–90°, sorted by position:
two_theta  I_rel
11.47  82
19.97  74
24.11  45
26.92  42
31.47  100
32.93  40
33.74  67
37.52  44

=====

# Na2AcPd9
Calculated X-ray diffraction stick pattern, Cu Ka. Input: DFT lattice parameters and positions (PBE).

Atomic structure:
abc: 5.4295 5.4295 26.7435
angles: 90.00 90.00 120.00
Space group R-3m (No. 166, hexagonal axes)
Inequivalent atoms, fractional coordinates:
Na  0.0000  0.0000  0.1456 [6 per cell]
Ac  0.0000  0.0000  0.0000 [3 per cell]
Pd  0.0000  0.0000  0.3329 [6 per cell]
Pd  0.0000  0.0000  0.5000 [3 per cell]
Pd  0.0018  0.5009  0.9151 [18 per cell]

Top 8 peaks for 2θ = 10–90°, sorted by position:
two_theta  I_rel
23.13  22
38.44  24
38.85  100
40.48  27
41.98  18
62.85  20
69.21  18
83.36  20

=====

# NaAcPd
Calculated X-ray diffraction stick pattern, Cu Ka. Input: DFT lattice parameters and positions (PBE).

Atomic structure:
abc: 6.1885 9.0088 6.1896
angles: 90.00 90.00 90.00
Space group Pcca (No. 54)
Inequivalent atoms, fractional coordinates:
Na  0.2500  0.0000  0.0014 [4 per cell]
Ac  0.0000  0.3508  0.2500 [4 per cell]
Pd  0.0000  0.2938  0.7500 [4 per cell]

Top 8 peaks for 2θ = 10–90°, sorted by position:
two_theta  I_rel
28.44  52
28.85  100
29.75  49
30.55  64
35.19  43
41.26  52
41.92  56
51.69  42

=====

# NaAcSb2Pd5
Calculated X-ray diffraction stick pattern, Cu Ka. Input: DFT lattice parameters and positions (PBE).

Atomic structure:
abc: 4.7906 4.7906 8.8112
angles: 90.00 90.00 90.00
Space group P4/mmm (No. 123)
Inequivalent atoms, fractional coordinates:
Na  0.0000  0.0000  0.0000 [1 per cell]
Ac  0.0000  0.0000  0.5000 [1 per cell]
Sb  0.5000  0.5000  0.1675 [2 per cell]
Pd  0.0000  0.5000  0.2864 [4 per cell]
Pd  0.5000  0.5000  0.5000 [1 per cell]

Top 8 peaks for 2θ = 10–90°, sorted by position:
two_theta  I_rel
10.04  82
21.11  33
27.51  28
33.37  98
37.55  98
40.66  100
54.15  34
69.85  54

=====

# NaAcSn2Pd4
Calculated X-ray diffraction stick pattern, Cu Ka. Input: DFT lattice parameters and positions (PBE).

Atomic structure:
abc: 4.6146 4.6146 27.2539
angles: 90.00 90.00 120.00
Space group R-3m (No. 166, hexagonal axes)
Inequivalent atoms, fractional coordinates:
Na  0.0000  0.0000  0.0000 [3 per cell]
Ac  0.0000  0.0000  0.5000 [3 per cell]
Sn  0.0000  0.0000  0.2646 [6 per cell]
Pd  0.0000  0.0000  0.1000 [6 per cell]
Pd  0.0000  0.0000  0.3725 [6 per cell]

Top 8 peaks for 2θ = 10–90°, sorted by position:
two_theta  I_rel
22.49  18
27.68  42
32.10  16
34.60  82
39.04  100
53.14  24
67.88  23
70.72  17

=====

# NaAc2Sn3Pd4
Calculated X-ray diffraction stick pattern, Cu Ka. Input: DFT lattice parameters and positions (PBE).

Atomic structure:
abc: 4.6444 4.6444 11.1640
angles: 90.00 90.00 90.00
Space group P-4m2 (No. 115)
Inequivalent atoms, fractional coordinates:
Na  0.0000  0.0000  0.0000 [1 per cell]
Ac  0.0000  0.5000  0.7397 [2 per cell]
Sn  0.0000  0.5000  0.3768 [2 per cell]
Sn  0.5000  0.5000  0.0000 [1 per cell]
Pd  0.0000  0.0000  0.5000 [1 per cell]
Pd  0.0000  0.5000  0.1389 [2 per cell]
Pd  0.5000  0.5000  0.5000 [1 per cell]

Top 8 peaks for 2θ = 10–90°, sorted by position:
two_theta  I_rel
27.15  30
30.79  81
31.61  100
38.78  67
45.05  34
50.31  42
60.92  28
65.74  25

=====

# NaAc2Pm
Calculated X-ray diffraction stick pattern, Cu Ka. Input: DFT lattice parameters and positions (PBE).

Atomic structure:
abc: 3.8882 3.8882 38.0073
angles: 90.00 90.00 120.00
Space group R3m (No. 160, hexagonal axes)
Inequivalent atoms, fractional coordinates:
Na  0.0000  0.0000  0.0000 [3 per cell]
Ac  0.0000  0.0000  0.4205 [3 per cell]
Ac  0.0000  0.0000  0.5792 [3 per cell]
Pm  0.0000  0.0000  0.8331 [3 per cell]

Top 8 peaks for 2θ = 10–90°, sorted by position:
two_theta  I_rel
13.98  53
26.58  54
28.15  87
29.00  95
31.26  100
32.59  43
46.73  48
55.45  56

=====

# NaAcPm
Calculated X-ray diffraction stick pattern, Cu Ka. Input: DFT lattice parameters and positions (PBE).

Atomic structure:
abc: 5.8787 5.8787 7.6699
angles: 90.00 90.00 120.00
Space group P6/mmm (No. 191)
Inequivalent atoms, fractional coordinates:
Na  0.3333  0.6667  0.0000 [2 per cell]
Ac  0.0000  0.0000  0.2607 [2 per cell]
Pm  0.3333  0.6667  0.5000 [2 per cell]

Top 8 peaks for 2θ = 10–90°, sorted by position:
two_theta  I_rel
11.54  29
17.42  32
29.15  100
30.41  75
42.63  36
53.26  38
57.38  24
71.15  16

=====

# NaAc3Pm3Se8
Calculated X-ray diffraction stick pattern, Cu Ka. Input: DFT lattice parameters and positions (PBE).

Atomic structure:
abc: 8.5739 8.5739 21.3222
angles: 90.00 90.00 120.00
Space group R-3m (No. 166, hexagonal axes)
Inequivalent atoms, fractional coordinates:
Na  0.0000  0.0000  0.0000 [3 per cell]
Ac  0.0000  0.5000  0.5000 [9 per cell]
Pm  0.0000  0.5000  0.0000 [9 per cell]
Se  0.0000  0.0000  0.2559 [6 per cell]
Se  0.0063  0.5031  0.2541 [18 per cell]

Top 8 peaks for 2θ = 10–90°, sorted by position:
two_theta  I_rel
14.54  20
29.32  100
41.72  38
42.16  37
52.18  20
68.60  17
69.24  17
76.76  13

=====

Please write out number 8 again, unchanged.
# NaAcSn2Pd4
Calculated X-ray diffraction stick pattern, Cu Ka. Input: DFT lattice parameters and positions (PBE).

Atomic structure:
abc: 4.6146 4.6146 27.2539
angles: 90.00 90.00 120.00
Space group R-3m (No. 166, hexagonal axes)
Inequivalent atoms, fractional coordinates:
Na  0.0000  0.0000  0.0000 [3 per cell]
Ac  0.0000  0.0000  0.5000 [3 per cell]
Sn  0.0000  0.0000  0.2646 [6 per cell]
Pd  0.0000  0.0000  0.1000 [6 per cell]
Pd  0.0000  0.0000  0.3725 [6 per cell]

Top 8 peaks for 2θ = 10–90°, sorted by position:
two_theta  I_rel
22.49  18
27.68  42
32.10  16
34.60  82
39.04  100
53.14  24
67.88  23
70.72  17